Record 1
Structure and computed powder diffractogram of NdGa6Cu6 (a DFT-relaxed cell (GGA-PBE, Alexandria); Cu Ka).

Peak list (8 most intense, 2θ = 5–70°, sorted by position)
2theta  I_rel
35.19  39
35.69  24
40.43  45
40.63  43
41.10  100
41.35  47
41.84  37
45.78  49

```
NdGa6Cu6
1.0
-2.589 4.318 4.395
2.589 -4.318 4.395
2.589 4.318 -4.395
Nd Ga Cu
1 6 6
Cartesian
0.000 0.000 0.000
2.589 0.000 1.757
0.000 3.003 0.000
0.000 0.000 3.076
0.000 0.000 5.713
0.000 5.632 0.000
0.000 4.318 2.638
1.295 2.159 -2.197
1.295 -2.159 2.197
2.589 2.014 0.000
-1.295 2.159 2.197
1.295 2.159 2.197
0.000 2.304 4.395
```

=====

Record 2
Structure and computed powder diffractogram of CdAg7Au2 (a DFT-relaxed cell (GGA-PBE, Alexandria); Cu Ka).

Peak list (8 most intense, 2θ = 5–70°, sorted by position)
2theta  I_rel
31.20  39
36.62  100
36.78  90
38.18  88
38.52  83
40.35  38
45.25  49
62.01  28

```
CdAg7Au2
1.0
7.142 0.000 0.000
0.000 2.866 0.000
-3.467 0.000 9.183
Cd Ag Au
1 7 2
Cartesian
0.000 0.000 0.000
-1.734 1.433 4.591
-1.495 1.433 7.370
0.595 1.433 3.057
0.571 0.000 5.678
3.104 0.000 3.505
3.079 1.433 6.126
5.169 1.433 1.813
2.457 1.433 0.958
1.217 1.433 8.225
```

=====

Record 3
Structure and computed powder diffractogram of LaSc4Ag5 (a DFT-relaxed cell (GGA-PBE, Alexandria); Cu Ka).

Peak list (8 most intense, 2θ = 5–70°, sorted by position)
2theta  I_rel
25.73  12
29.81  14
32.65  10
36.01  100
36.70  59
52.88  20
64.29  9
65.65  32

```
LaSc4Ag5
1.0
3.463 0.000 0.000
0.000 3.463 0.000
0.000 0.000 17.975
La Sc Ag
1 4 5
Cartesian
0.000 0.000 0.000
0.000 0.000 3.846
0.000 0.000 7.278
0.000 0.000 10.697
0.000 0.000 14.128
1.731 1.731 2.260
1.731 1.731 5.556
1.731 1.731 8.987
1.731 1.731 12.419
1.731 1.731 15.715
```

=====

Record 4
Structure and computed powder diffractogram of YSbF2 (a DFT-relaxed cell (GGA-PBE, Alexandria); Cu Ka).

Peak list (8 most intense, 2θ = 5–70°, sorted by position)
2theta  I_rel
26.63  17
27.23  100
33.75  28
43.50  28
47.39  21
56.16  17
56.49  25
65.98  8

```
YSbF2
1.0
-2.656 2.656 6.694
2.656 -2.656 6.694
2.656 2.656 -6.694
Y Sb F
2 2 4
Cartesian
0.000 0.000 0.000
0.000 2.656 3.347
2.656 0.000 3.347
0.000 0.000 6.694
0.011 1.328 1.674
-1.328 2.645 5.021
-0.011 3.983 1.674
1.328 2.666 5.021
```

=====

Record 5
Structure and computed powder diffractogram of Cd2P2H10CCl2O11 (a DFT-relaxed cell (GGA-PBE, Alexandria); Cu Ka).

Peak list (8 most intense, 2θ = 5–70°, sorted by position)
2theta  I_rel
7.28  100
10.94  29
14.59  37
19.27  41
26.24  35
28.30  28
29.03  29
29.75  28

```
Cd2P2H10CCl2O11
1.0
5.739 0.000 0.000
2.445 9.385 0.000
1.569 2.238 12.141
Cd P H C Cl O
4 4 20 2 4 22
Cartesian
1.323 1.291 3.062
3.836 5.829 11.144
5.917 5.794 0.998
8.429 10.332 9.079
2.995 7.360 2.224
3.062 4.161 2.271
6.691 7.462 9.870
6.757 4.263 9.917
3.951 9.902 11.687
2.181 3.006 7.576
4.321 9.390 6.871
2.833 3.720 6.309
4.622 8.972 10.614
2.396 1.568 5.675
5.195 9.012 8.166
5.938 10.839 10.596
5.494 9.589 5.127
5.226 8.922 1.469
4.527 2.701 10.672
4.259 2.034 7.014
3.815 0.784 1.545
4.558 2.612 3.975
7.357 10.055 6.466
5.131 2.651 1.528
6.920 7.903 5.832
5.432 2.234 5.271
7.571 8.617 4.565
5.801 1.721 0.455
2.789 5.767 3.214
6.964 5.856 8.927
2.927 5.903 8.331
3.846 5.802 4.658
5.906 5.821 7.483
6.826 5.721 3.810
2.116 4.333 10.998
2.805 8.518 3.212
1.964 4.176 1.178
4.291 9.911 10.744
4.273 9.183 7.836
2.759 2.859 6.761
4.633 10.090 5.213
2.907 3.017 3.275
4.411 7.339 1.629
5.273 7.423 10.459
2.861 0.521 1.550
6.891 11.102 10.592
4.480 4.200 1.682
5.342 4.284 10.513
6.845 8.606 8.866
5.120 1.533 6.928
6.994 8.765 5.380
5.479 2.440 4.306
5.462 1.712 1.398
7.789 7.447 10.964
6.947 3.106 8.929
7.637 7.290 1.143
```

=====

Record 6
Structure and computed powder diffractogram of Dy2Th3Sc8 (a DFT-relaxed cell (GGA-PBE, Alexandria); Cu Ka).

Peak list (8 most intense, 2θ = 5–70°, sorted by position)
2theta  I_rel
17.64  24
23.54  60
24.36  34
31.51  69
32.92  32
33.07  53
33.40  100
34.45  24

```
Dy2Th3Sc8
1.0
6.286 -5.418 0.000
6.286 5.418 0.000
-2.146 0.000 5.276
Dy Th Sc
2 3 8
Cartesian
1.786 0.000 1.782
8.641 0.000 3.494
6.286 2.626 0.000
5.213 0.000 2.638
6.286 -2.626 0.000
-0.790 0.000 4.042
3.389 2.741 1.673
2.238 0.000 4.925
7.038 2.741 3.604
3.389 -2.741 1.673
8.189 0.000 0.351
7.038 -2.741 3.604
11.217 0.000 1.234
```

=====

Record 7
Structure and computed powder diffractogram of PmTm3Sn (a DFT-relaxed cell (GGA-PBE, Alexandria); Cu Ka).

Peak list (8 most intense, 2θ = 5–70°, sorted by position)
2theta  I_rel
28.96  38
30.05  37
30.62  46
30.79  37
31.92  41
33.33  49
33.50  100
34.39  30

```
PmTm3Sn
1.0
8.509 0.000 0.000
0.000 8.639 0.000
-5.064 0.000 8.206
Pm Tm Sn
4 12 4
Cartesian
0.187 0.591 2.429
-2.345 3.728 6.531
5.790 4.911 1.674
3.258 8.048 5.777
0.550 6.013 0.434
-1.982 6.946 4.537
-2.843 0.559 7.904
-0.311 3.760 3.801
-0.126 0.868 5.779
2.406 3.452 1.677
1.039 5.188 6.529
3.571 7.771 2.426
3.756 4.879 4.404
6.288 8.080 0.301
5.427 1.693 3.668
2.895 2.626 7.771
1.102 6.469 3.700
-1.430 6.490 7.802
4.875 2.150 0.403
2.343 2.170 4.506
```

=====

Record 8
Structure and computed powder diffractogram of Sr3Zn4Pd4 (a DFT-relaxed cell (GGA-PBE, Alexandria); Cu Ka).

Peak list (8 most intense, 2θ = 5–70°, sorted by position)
2theta  I_rel
21.02  23
29.96  40
31.46  74
32.19  100
36.66  36
41.26  47
42.22  44
60.50  29

```
Sr3Zn4Pd4
1.0
4.281 0.000 0.000
0.002 4.376 0.000
2.135 2.152 13.316
Sr Zn Pd
3 4 4
Cartesian
0.000 0.000 0.000
2.148 4.353 9.378
4.270 2.175 3.938
2.145 2.170 6.647
2.125 4.367 2.653
4.293 2.161 10.663
4.274 4.358 6.669
2.133 4.358 5.220
2.123 2.178 1.371
4.295 4.350 11.945
4.285 2.170 8.096
```

=====

Record 9
Structure and computed powder diffractogram of LaPm3Tm4 (a DFT-relaxed cell (GGA-PBE, Alexandria); Cu Ka).

Peak list (8 most intense, 2θ = 5–70°, sorted by position)
2theta  I_rel
30.53  100
30.93  32
35.52  67
50.85  24
51.37  23
60.68  19
61.18  14
63.56  12

```
LaPm3Tm4
1.0
6.215 0.000 0.000
0.000 3.595 0.000
-2.092 0.000 11.565
La Pm Tm
1 3 4
Cartesian
0.000 0.000 0.000
-1.046 1.797 5.782
2.062 0.000 5.782
3.107 1.797 0.000
-0.013 0.000 8.659
1.032 1.797 2.913
3.091 1.797 8.652
4.136 0.000 2.905
```

=====

Record 10
Structure and computed powder diffractogram of CaErOs (a DFT-relaxed cell (GGA-PBE, Alexandria); Cu Ka).

Peak list (8 most intense, 2θ = 5–70°, sorted by position)
2theta  I_rel
13.59  93
18.71  100
31.82  25
35.26  59
36.25  19
37.95  57
38.18  17
38.81  33

```
CaErOs
1.0
3.415 -6.517 0.000
3.415 6.517 0.000
0.000 0.000 7.635
Ca Er Os
4 4 4
Cartesian
3.415 3.953 6.793
3.415 2.564 2.975
3.415 -2.564 4.660
3.415 -3.953 0.843
1.707 0.502 5.727
1.707 -0.502 1.909
5.122 0.502 5.727
5.122 -0.502 1.909
3.415 5.348 4.112
3.415 1.169 0.294
3.415 -1.169 7.341
3.415 -5.348 3.523
```